Entry 1:
Computed XRD peak list of TbNd3Er6 for λ = 1.5418 Å (Cu Kα), from a PBE-relaxed structure.
Kinematic intensities with the Lorentz-polarization factor, no thermal factor.

Top 12 peaks for 15° ≤ 2θ ≤ 90°, low angle first:
hkl 3 3 0, 2θ 28.21, rel. 20.3; hkl 0 0 2, 2θ 28.38, rel. 20.5; hkl 3 1 1, 2θ 28.61, rel. 31.8; hkl 2 4 1, 2θ 28.73, rel. 72.3; hkl 0 2 2, 2θ 29.93, rel. 32.4; hkl 3 3 1, 2θ 31.66, rel. 67.6; hkl 0 6 1, 2θ 31.83, rel. 100.0; hkl 2 0 2, 2θ 32.82, rel. 28.8; hkl 2 2 2, 2θ 34.19, rel. 81.9; hkl 2 8 1, 2θ 44.23, rel. 19.9; hkl 2 4 3, 2θ 50.45, rel. 22.2; hkl 2 10 2, 2θ 59.59, rel. 22.7

Structural model:
```
data_TbNd3Er6
_chemical_formula_sum 'Tb4 Nd12 Er24'
_symmetry_space_group_name_H-M 'C m c 21'
_symmetry_Int_Tables_number 36
_symmetry_space_group_name_Hall 'C 2c -2'
_cell_length_a 10.9799
_cell_length_b 18.8577
_cell_length_c 6.2908
_cell_angle_alpha 90.00
_cell_angle_beta 90.00
_cell_angle_gamma 90.00
loop_
_atom_site_label
_atom_site_fract_x
_atom_site_fract_y
_atom_site_fract_z
Tb1 0.0000 0.1989 0.0000
Nd1 0.0000 0.3893 0.9326
Nd2 0.1747 0.1122 0.3270
Er1 0.0000 0.0415 0.7485
Er2 0.0000 0.2747 0.5104
Er3 0.1657 0.4534 0.4078
Er4 0.2433 0.2899 0.2357
```


Entry 2:
Computed XRD peak list of Tb3NdEr7 for λ = 1.5418 Å (Cu Kα), from a PBE-relaxed structure.
Kinematic intensities with the Lorentz-polarization factor, no thermal factor.

Top 12 peaks for 15° ≤ 2θ ≤ 90°, low angle first:
hkl 0 3 1, 2θ 25.33, rel. 16.7; hkl 1 0 3, 2θ 28.62, rel. 12.1; hkl 2 0 0, 2θ 31.03, rel. 38.1; hkl 0 0 4, 2θ 32.12, rel. 12.0; hkl 0 4 0, 2θ 32.26, rel. 17.7; hkl 1 2 3, 2θ 32.93, rel. 100.0; hkl 2 3 1, 2θ 40.46, rel. 9.8; hkl 2 0 4, 2θ 45.26, rel. 9.4; hkl 2 4 0, 2θ 45.37, rel. 13.9; hkl 3 2 3, 2θ 56.41, rel. 21.7; hkl 1 2 7, 2θ 62.82, rel. 7.9; hkl 1 7 2, 2θ 63.06, rel. 9.3

Structural model:
```
data_Tb3NdEr7
_chemical_formula_sum 'Tb6 Nd2 Er14'
_symmetry_space_group_name_H-M 'I m m m'
_symmetry_Int_Tables_number 71
_symmetry_space_group_name_Hall '-I 2 2'
_cell_length_a 5.7646
_cell_length_b 11.0987
_cell_length_c 11.1460
_cell_angle_alpha 90.00
_cell_angle_beta 90.00
_cell_angle_gamma 90.00
loop_
_atom_site_label
_atom_site_fract_x
_atom_site_fract_y
_atom_site_fract_z
Tb1 0.0000 0.0000 0.0000
Tb2 0.0000 0.5000 0.2924
Nd1 0.0000 0.0000 0.5000
Er1 0.0000 0.2096 0.1931
Er2 0.0000 0.2946 0.5000
Er3 0.0000 0.5000 0.0000
```


Entry 3:
Computed XRD peak list of TbNd4Er4 for λ = 1.5418 Å (Cu Kα), from a PBE-relaxed structure.
Kinematic intensities with the Lorentz-polarization factor, no thermal factor.

Top 12 peaks for 15° ≤ 2θ ≤ 90°, low angle first:
hkl 3 0 1, 2θ 30.50, rel. 100.0; hkl 3 3 0, 2θ 35.32, rel. 33.9; hkl 0 0 2, 2θ 35.45, rel. 16.8; hkl 6 0 0, 2θ 50.88, rel. 36.2; hkl 6 3 1, 2θ 60.43, rel. 28.7; hkl 3 0 3, 2θ 60.61, rel. 14.3; hkl 6 0 2, 2θ 63.48, rel. 12.4; hkl 6 6 0, 2θ 74.71, rel. 3.8; hkl 9 0 1, 2θ 82.80, rel. 5.9; hkl 6 3 3, 2θ 82.96, rel. 11.8; hkl 9 3 0, 2θ 85.47, rel. 11.0; hkl 3 3 4, 2θ 85.74, rel. 5.5

Structural model:
```
data_TbNd4Er4
_chemical_formula_sum 'Tb2 Nd8 Er8'
_symmetry_space_group_name_H-M 'I 4/m m m'
_symmetry_Int_Tables_number 139
_symmetry_space_group_name_Hall '-I 4 2'
_cell_length_a 10.7811
_cell_length_b 10.7811
_cell_length_c 5.0639
_cell_angle_alpha 90.00
_cell_angle_beta 90.00
_cell_angle_gamma 90.00
loop_
_atom_site_label
_atom_site_fract_x
_atom_site_fract_y
_atom_site_fract_z
Tb1 0.0000 0.0000 0.0000
Nd1 0.1669 0.1669 0.5000
Er1 0.0000 0.3357 0.0000
```


Entry 4:
Computed XRD peak list of Tb5Nd2Er4 for λ = 1.5418 Å (Cu Kα), from a PBE-relaxed structure.
Kinematic intensities with the Lorentz-polarization factor, no thermal factor.

Top 12 peaks for 15° ≤ 2θ ≤ 90°, low angle first:
hkl 1 1 2, 2θ 28.46, rel. 34.7; hkl 0 1 7, 2θ 28.61, rel. 24.3; hkl 0 2 6, 2θ 30.39, rel. 46.6; hkl 0 0 8, 2θ 30.74, rel. 38.0; hkl 0 3 3, 2θ 31.90, rel. 65.9; hkl 1 2 1, 2θ 32.65, rel. 100.0; hkl 1 1 6, 2θ 36.01, rel. 34.9; hkl 1 0 7, 2θ 37.35, rel. 45.7; hkl 1 3 4, 2θ 42.58, rel. 33.8; hkl 1 2 9, 2θ 48.21, rel. 25.5; hkl 1 2 13, 2θ 61.78, rel. 26.2; hkl 2 3 3, 2θ 62.70, rel. 30.1

Structural model:
```
data_Tb5Nd2Er4
_chemical_formula_sum 'Tb10 Nd4 Er8'
_symmetry_space_group_name_H-M 'I m m m'
_symmetry_Int_Tables_number 71
_symmetry_space_group_name_Hall '-I 2 2'
_cell_length_a 3.4915
_cell_length_b 9.0260
_cell_length_c 23.2717
_cell_angle_alpha 90.00
_cell_angle_beta 90.00
_cell_angle_gamma 90.00
loop_
_atom_site_label
_atom_site_fract_x
_atom_site_fract_y
_atom_site_fract_z
Tb1 0.0000 0.0000 0.0000
Tb2 0.0000 0.3041 0.3583
Nd1 0.0000 0.5000 0.2324
Er1 0.0000 0.1878 0.5000
Er2 0.0000 0.5000 0.0968
```


Entry 5:
Computed XRD peak list of Tb7NdEr12 for λ = 1.5418 Å (Cu Kα), from a PBE-relaxed structure.
Kinematic intensities with the Lorentz-polarization factor, no thermal factor.

Top 12 peaks for 15° ≤ 2θ ≤ 90°, low angle first:
hkl 3 0 0, 2θ 24.16, rel. 15.3; hkl 1 0 4, 2θ 27.57, rel. 20.5; hkl 1 3 1, 2θ 29.89, rel. 66.1; hkl 0 2 4, 2θ 30.99, rel. 43.5; hkl 3 1 2, 2θ 32.06, rel. 100.0; hkl 1 2 5, 2θ 39.68, rel. 31.7; hkl 5 -1 3, 2θ 42.51, rel. 34.2; hkl 3 0 6, 2θ 47.25, rel. 14.3; hkl 1 5 2, 2θ 47.75, rel. 13.0; hkl 2 5 0, 2θ 51.65, rel. 14.5; hkl 2 5 3, 2θ 55.80, rel. 18.5; hkl 3 3 6, 2θ 59.76, rel. 14.0

Structural model:
```
data_Tb7NdEr12
_chemical_formula_sum 'Tb21 Nd3 Er36'
_symmetry_space_group_name_H-M 'R -3'
_symmetry_Int_Tables_number 148
_symmetry_space_group_name_Hall '-R 3'
_cell_length_a 12.7621
_cell_length_b 12.7621
_cell_length_c 13.5318
_cell_angle_alpha 90.00
_cell_angle_beta 90.00
_cell_angle_gamma 120.00
loop_
_atom_site_label
_atom_site_fract_x
_atom_site_fract_y
_atom_site_fract_z
Tb1 0.0000 0.0000 0.0000
Tb2 0.0684 0.2022 0.3495
Nd1 0.0000 0.0000 0.5000
Er1 0.0039 0.5669 0.7474
Er2 0.0683 0.8684 0.8462
```


Entry 6:
Computed XRD peak list of TbNd3Er4 for λ = 1.5418 Å (Cu Kα), from a PBE-relaxed structure.
Kinematic intensities with the Lorentz-polarization factor, no thermal factor.

Top 12 peaks for 15° ≤ 2θ ≤ 90°, low angle first:
hkl 0 2 1, 2θ 28.27, rel. 23.2; hkl 0 0 2, 2θ 28.41, rel. 12.1; hkl 4 0 0, 2θ 31.28, rel. 36.4; hkl 2 2 1, 2θ 32.40, rel. 100.0; hkl 2 0 2, 2θ 32.52, rel. 48.8; hkl 4 0 2, 2θ 42.69, rel. 23.4; hkl 0 4 0, 2θ 49.97, rel. 9.8; hkl 0 2 3, 2θ 50.22, rel. 19.5; hkl 6 2 1, 2θ 56.40, rel. 31.0; hkl 4 4 0, 2θ 60.14, rel. 11.3; hkl 4 2 3, 2θ 60.36, rel. 22.4; hkl 2 4 2, 2θ 60.89, rel. 16.1

Structural model:
```
data_TbNd3Er4
_chemical_formula_sum 'Tb2 Nd6 Er8'
_symmetry_space_group_name_H-M 'P m n 21'
_symmetry_Int_Tables_number 31
_symmetry_space_group_name_Hall 'P 2ac -2'
_cell_length_a 11.4400
_cell_length_b 7.3014
_cell_length_c 6.2827
_cell_angle_alpha 90.00
_cell_angle_beta 90.00
_cell_angle_gamma 90.00
loop_
_atom_site_label
_atom_site_fract_x
_atom_site_fract_y
_atom_site_fract_z
Tb1 0.0000 0.1298 0.0000
Nd1 0.0000 0.8720 0.5004
Nd2 0.2503 0.1274 0.3365
Er1 0.0000 0.3789 0.5021
Er2 0.0000 0.6211 0.0011
Er3 0.2487 0.3790 0.8351
```